(1)
For Ba4SrNb3O12, a structure optimized by DFT (GGA-PBE) gives the theoretical powder XRD pattern in this record (Cu Kα (weighted mean of Kα1 and Kα2)).
Peak positions follow from Bragg's law for the DFT cell and can differ from measured ones.

Principal peaks in the range 2θ = 10–90°, in order of falling intensity:
2θ/deg, d/Å, Rel. int.
29.58, 3.020, 1000
52.48, 1.744, 399
42.33, 2.135, 313
84.97, 1.141, 212
61.40, 1.510, 193
69.61, 1.351, 179

Cell and atoms:
Unit cell a=7.3973 b=7.3973 c=7.3973 alpha=109.47 beta=109.47 gamma=109.47
Atoms (fractional coordinates):
Ba 0.0000 0.0000 0.5000
Ba 0.0000 0.5000 0.0000
Ba 0.5000 0.0000 0.0000
Ba 0.5000 0.5000 0.5000
Sr 0.0000 0.0000 0.0000
Nb 0.0000 0.5000 0.5000
Nb 0.5000 0.0000 0.5000
Nb 0.5000 0.5000 0.0000
O 0.0000 0.2732 0.2732
O 0.0000 0.7268 0.7268
O 0.2500 0.5000 0.7500
O 0.2500 0.7500 0.5000
O 0.2732 0.0000 0.2732
O 0.2732 0.2732 0.0000
O 0.5000 0.2500 0.7500
O 0.5000 0.7500 0.2500
O 0.7268 0.0000 0.7268
O 0.7268 0.7268 0.0000
O 0.7500 0.2500 0.5000
O 0.7500 0.5000 0.2500



(2)
For BaSrTbNbO6, a structure optimized by DFT (GGA-PBE) gives the theoretical powder XRD pattern in this record (Cu Kα (weighted mean of Kα1 and Kα2)).
Peak positions follow from Bragg's law for the DFT cell and can differ from measured ones.

Principal peaks in the range 2θ = 10–90°, in order of falling intensity:
2θ/deg, d/Å, Rel. int.
29.64, 3.014, 1000
52.60, 1.740, 404
42.42, 2.131, 310
85.18, 1.139, 214
61.54, 1.507, 192
69.78, 1.348, 179

Cell and atoms:
Unit cell a=6.0276 b=6.0276 c=6.0276 alpha=60.00 beta=60.00 gamma=60.00
Atoms (fractional coordinates):
Ba 0.0000 0.0000 0.0000
Sr 0.5000 0.5000 0.5000
Tb 0.2500 0.2500 0.2500
Nb 0.7500 0.7500 0.7500
O 0.5133 0.5133 0.9867
O 0.5133 0.9867 0.5133
O 0.5133 0.9867 0.9867
O 0.9867 0.5133 0.5133
O 0.9867 0.5133 0.9867
O 0.9867 0.9867 0.5133



(3)
For BaSrYNbO6, a structure optimized by DFT (GGA-PBE) gives the theoretical powder XRD pattern in this record (Cu Kα (weighted mean of Kα1 and Kα2)).
Peak positions follow from Bragg's law for the DFT cell and can differ from measured ones.

Principal peaks in the range 2θ = 10–90°, in order of falling intensity:
2θ/deg, d/Å, Rel. int.
29.91, 2.988, 1000
29.81, 2.997, 488
42.81, 2.112, 298
53.03, 1.727, 267
53.13, 1.724, 208
52.90, 1.731, 155

Cell and atoms:
Unit cell a=5.9796 b=5.9876 c=8.4548 alpha=89.79 beta=89.83 gamma=89.75
Atoms (fractional coordinates):
Ba 0.0052 0.0147 0.2501
Ba 0.9948 0.9853 0.7499
Sr 0.4993 0.5218 0.2493
Sr 0.5007 0.4782 0.7507
Y 0.0000 0.5000 0.0000
Y 0.5000 0.0000 0.5000
Nb 0.0000 0.5000 0.5000
Nb 0.5000 0.0000 0.0000
O 0.0684 0.4838 0.7357
O 0.2115 0.7613 0.4800
O 0.2360 0.7914 0.0158
O 0.2637 0.2927 0.4557
O 0.2980 0.2690 0.0433
O 0.4500 0.0417 0.7642
O 0.5500 0.9583 0.2358
O 0.7020 0.7310 0.9567
O 0.7363 0.7073 0.5443
O 0.7640 0.2086 0.9842
O 0.7885 0.2387 0.5200
O 0.9316 0.5162 0.2643



(4)
For BaTa2NbO8, a structure optimized by DFT (GGA-PBE) gives the theoretical powder XRD pattern in this record (Cu Kα (weighted mean of Kα1 and Kα2)).
Peak positions follow from Bragg's law for the DFT cell and can differ from measured ones.

Principal peaks in the range 2θ = 10–90°, in order of falling intensity:
2θ/deg, d/Å, Rel. int.
21.18, 4.196, 1000
30.23, 2.956, 640
30.01, 2.977, 537
43.12, 2.098, 251
48.66, 1.871, 231
53.57, 1.711, 228

Cell and atoms:
Unit cell a=5.9126 b=5.9126 c=7.3188 alpha=90.00 beta=90.00 gamma=120.00
Atoms (fractional coordinates):
Ba 0.0000 0.0000 0.0000
Ta 0.3333 0.6667 0.7499
Ta 0.6667 0.3333 0.2501
Nb 0.0000 0.0000 0.5000
O 0.1573 0.3147 0.6731
O 0.1573 0.8427 0.6731
O 0.3147 0.1573 0.3269
O 0.3333 0.6667 0.9971
O 0.6667 0.3333 0.0029
O 0.6853 0.8427 0.6731
O 0.8427 0.1573 0.3269
O 0.8427 0.6853 0.3269



(5)
For Ba3TaNb4O15, a structure optimized by DFT (GGA-PBE) gives the theoretical powder XRD pattern in this record (Cu Kα (weighted mean of Kα1 and Kα2)).
Peak positions follow from Bragg's law for the DFT cell and can differ from measured ones.

Principal peaks in the range 2θ = 10–90°, in order of falling intensity:
2θ/deg, d/Å, Rel. int.
31.25, 2.862, 1000
27.03, 3.299, 345
28.69, 3.111, 325
44.96, 2.016, 175
50.33, 1.813, 173
55.55, 1.654, 163

Cell and atoms:
Unit cell a=12.8275 b=12.8275 c=4.0326 alpha=90.00 beta=90.00 gamma=90.00
Atoms (fractional coordinates):
Ba 0.0000 0.0000 0.0000
Ba 0.1682 0.3318 0.0000
Ba 0.3318 0.8318 0.0000
Ba 0.5000 0.5000 0.0000
Ba 0.6682 0.1682 0.0000
Ba 0.8318 0.6682 0.0000
Ta 0.0000 0.5000 0.5000
Ta 0.5000 0.0000 0.5000
Nb 0.0771 0.7873 0.5000
Nb 0.2127 0.0771 0.5000
Nb 0.2873 0.5771 0.5000
Nb 0.4229 0.2873 0.5000
Nb 0.5771 0.7127 0.5000
Nb 0.7127 0.4229 0.5000
Nb 0.7873 0.9229 0.5000
Nb 0.9229 0.2127 0.5000
O 0.0000 0.5000 0.0000
O 0.0070 0.3447 0.5000
O 0.0687 0.1405 0.5000
O 0.0774 0.7914 0.0000
O 0.1405 0.9313 0.5000
O 0.1553 0.4930 0.5000
O 0.2086 0.0774 0.0000
O 0.2188 0.7188 0.5000
O 0.2812 0.2188 0.5000
O 0.2914 0.5774 0.0000
O 0.3447 0.9930 0.5000
O 0.3595 0.4313 0.5000
O 0.4226 0.2914 0.0000
O 0.4313 0.6405 0.5000
O 0.4930 0.8447 0.5000
O 0.5000 0.0000 0.0000
O 0.5070 0.1553 0.5000
O 0.5687 0.3595 0.5000
O 0.5774 0.7086 0.0000
O 0.6405 0.5687 0.5000
O 0.6553 0.0070 0.5000
O 0.7086 0.4226 0.0000
O 0.7188 0.7812 0.5000
O 0.7812 0.2812 0.5000
O 0.7914 0.9226 0.0000
O 0.8447 0.5070 0.5000
O 0.8595 0.0687 0.5000
O 0.9226 0.2086 0.0000
O 0.9313 0.8595 0.5000
O 0.9930 0.6553 0.5000



(6)
For Ba3TbNb2O9, a structure optimized by DFT (GGA-PBE) gives the theoretical powder XRD pattern in this record (Cu Kα (weighted mean of Kα1 and Kα2)).
Peak positions follow from Bragg's law for the DFT cell and can differ from measured ones.

Principal peaks in the range 2θ = 10–90°, in order of falling intensity:
2θ/deg, d/Å, Rel. int.
29.76, 3.002, 1000
42.59, 2.123, 303
52.85, 1.732, 301
70.10, 1.342, 178
85.63, 1.134, 107
52.74, 1.736, 101

Cell and atoms:
Unit cell a=5.9983 b=5.9983 c=7.3660 alpha=90.00 beta=90.00 gamma=120.00
Atoms (fractional coordinates):
Ba 0.0000 0.0000 0.0000
Ba 0.3333 0.6667 0.6714
Ba 0.6667 0.3333 0.3286
Tb 0.0000 0.0000 0.5000
Nb 0.3333 0.6667 0.1636
Nb 0.6667 0.3333 0.8364
O 0.0000 0.5000 0.0000
O 0.1749 0.3498 0.3189
O 0.1749 0.8251 0.3189
O 0.3498 0.1749 0.6811
O 0.5000 0.0000 0.0000
O 0.5000 0.5000 0.0000
O 0.6502 0.8251 0.3189
O 0.8251 0.1749 0.6811
O 0.8251 0.6502 0.6811



(7)
For Ba2Nb2TeO10, a structure optimized by DFT (GGA-PBE) gives the theoretical powder XRD pattern in this record (Cu Kα (weighted mean of Kα1 and Kα2)).
Peak positions follow from Bragg's law for the DFT cell and can differ from measured ones.

Principal peaks in the range 2θ = 10–90°, in order of falling intensity:
2θ/deg, d/Å, Rel. int.
25.81, 3.452, 1000
30.06, 2.973, 968
29.34, 3.044, 850
22.50, 3.951, 721
30.13, 2.966, 570
52.61, 1.740, 460

Cell and atoms:
Unit cell a=7.3865 b=12.7122 c=10.0605 alpha=90.00 beta=90.00 gamma=90.00
Atoms (fractional coordinates):
Ba 0.0136 0.1408 0.1125
Ba 0.0136 0.3592 0.6125
Ba 0.4864 0.6408 0.1125
Ba 0.4864 0.8592 0.6125
Ba 0.5136 0.1408 0.3875
Ba 0.5136 0.3592 0.8875
Ba 0.9864 0.6408 0.3875
Ba 0.9864 0.8592 0.8875
Nb 0.2139 0.1050 0.7419
Nb 0.2139 0.3950 0.2419
Nb 0.2861 0.6050 0.7419
Nb 0.2861 0.8950 0.2419
Nb 0.7139 0.1050 0.7581
Nb 0.7139 0.3950 0.2581
Nb 0.7861 0.6050 0.7581
Nb 0.7861 0.8950 0.2581
Te 0.0000 0.0000 0.5000
Te 0.0000 0.5000 0.0000
Te 0.5000 0.0000 0.0000
Te 0.5000 0.5000 0.5000
O 0.0526 0.5840 0.6650
O 0.0526 0.9160 0.1650
O 0.0789 0.1382 0.5687
O 0.0789 0.3618 0.0687
O 0.1233 0.5549 0.1532
O 0.1233 0.9451 0.6532
O 0.2233 0.2424 0.7936
O 0.2233 0.2576 0.2936
O 0.2308 0.5133 0.9029
O 0.2308 0.9867 0.4029
O 0.2692 0.0133 0.9029
O 0.2692 0.4867 0.4029
O 0.2767 0.7424 0.7936
O 0.2767 0.7576 0.2936
O 0.3767 0.0549 0.1532
O 0.3767 0.4451 0.6532
O 0.4211 0.6382 0.5687
O 0.4211 0.8618 0.0687
O 0.4474 0.0840 0.6650
O 0.4474 0.4160 0.1650
O 0.5526 0.5840 0.8350
O 0.5526 0.9160 0.3350
O 0.5789 0.1382 0.9313
O 0.5789 0.3618 0.4313
O 0.6233 0.5549 0.3468
O 0.6233 0.9451 0.8468
O 0.7233 0.2424 0.7064
O 0.7233 0.2576 0.2064
O 0.7308 0.5133 0.5971
O 0.7308 0.9867 0.0971
O 0.7692 0.0133 0.5971
O 0.7692 0.4867 0.0971
O 0.7767 0.7424 0.7064
O 0.7767 0.7576 0.2064
O 0.8767 0.0549 0.3468
O 0.8767 0.4451 0.8468
O 0.9211 0.6382 0.9313
O 0.9211 0.8618 0.4313
O 0.9474 0.0840 0.8350
O 0.9474 0.4160 0.3350



(8)
For Ba3TiNb4O15, a structure optimized by DFT (GGA-PBE) gives the theoretical powder XRD pattern in this record (Cu Kα (weighted mean of Kα1 and Kα2)).
Peak positions follow from Bragg's law for the DFT cell and can differ from measured ones.

Principal peaks in the range 2θ = 10–90°, in order of falling intensity:
2θ/deg, d/Å, Rel. int.
31.07, 2.878, 1000
26.69, 3.340, 938
29.02, 3.077, 737
29.39, 3.039, 467
31.54, 2.837, 374
25.31, 3.519, 373

Cell and atoms:
Unit cell a=12.6874 b=12.6874 c=4.1312 alpha=90.00 beta=90.00 gamma=90.00
Atoms (fractional coordinates):
Ba 0.0000 0.0000 0.0000
Ba 0.1636 0.3364 0.9892
Ba 0.3364 0.8364 0.9892
Ba 0.5000 0.5000 0.0000
Ba 0.6636 0.1636 0.9892
Ba 0.8364 0.6636 0.9892
Ti 0.0000 0.5000 0.4610
Ti 0.5000 0.0000 0.4610
Nb 0.0742 0.7837 0.4807
Nb 0.2163 0.0742 0.4807
Nb 0.2837 0.5742 0.4807
Nb 0.4258 0.2837 0.4807
Nb 0.5742 0.7163 0.4807
Nb 0.7163 0.4258 0.4807
Nb 0.7837 0.9258 0.4807
Nb 0.9258 0.2163 0.4807
O 0.0000 0.5000 0.0379
O 0.0053 0.3453 0.5240
O 0.0672 0.1407 0.5263
O 0.0775 0.7922 0.0262
O 0.1407 0.9328 0.5263
O 0.1547 0.4947 0.5240
O 0.2078 0.0775 0.0262
O 0.2200 0.7200 0.5250
O 0.2800 0.2200 0.5250
O 0.2922 0.5775 0.0262
O 0.3453 0.9947 0.5240
O 0.3593 0.4328 0.5263
O 0.4225 0.2922 0.0262
O 0.4328 0.6407 0.5263
O 0.4947 0.8453 0.5240
O 0.5000 0.0000 0.0379
O 0.5053 0.1547 0.5240
O 0.5672 0.3593 0.5263
O 0.5775 0.7078 0.0262
O 0.6407 0.5672 0.5263
O 0.6547 0.0053 0.5240
O 0.7078 0.4225 0.0262
O 0.7200 0.7800 0.5250
O 0.7800 0.2800 0.5250
O 0.7922 0.9225 0.0262
O 0.8453 0.5053 0.5240
O 0.8593 0.0672 0.5263
O 0.9225 0.2078 0.0262
O 0.9328 0.8593 0.5263
O 0.9947 0.6547 0.5240